This entry pairs a crystal structure of Cs3Ni2Cl9 with its simulated XRD peak list. Radiation: Cu Kα, 1.54184 Å. Structure: a DFT-relaxed cell (PBE, Alexandria).
Intensities are scaled so that the largest is 100.

Most intense lines, 10° ≤ 2θ ≤ 90°, by angle:
19.8 deg, I = 67
24.9 deg, I = 48
32.0 deg, I = 100
40.3 deg, I = 28
47.9 deg, I = 20
51.1 deg, I = 23

Structural model:
Lattice parameters (Å, degrees): 9.6537 9.6537 9.6537 79.86 79.86 79.86
Fractional coordinates of all 28 atoms:
Cs  0.0926  0.7500  0.4074
Cs  0.2500  0.5926  0.9074
Cs  0.4074  0.0926  0.7500
Cs  0.5926  0.9074  0.2500
Cs  0.7500  0.4074  0.0926
Cs  0.9074  0.2500  0.5926
Ni  0.1717  0.1717  0.1717
Ni  0.3283  0.3283  0.3283
Ni  0.6717  0.6717  0.6717
Ni  0.8283  0.8283  0.8283
Cl  0.0456  0.8941  0.7376
Cl  0.1035  0.3965  0.2500
Cl  0.1059  0.2624  0.9544
Cl  0.2376  0.3941  0.5456
Cl  0.2500  0.1035  0.3965
Cl  0.2624  0.9544  0.1059
Cl  0.3941  0.5456  0.2376
Cl  0.3965  0.2500  0.1035
Cl  0.4544  0.7624  0.6059
Cl  0.5456  0.2376  0.3941
Cl  0.6035  0.7500  0.8965
Cl  0.6059  0.4544  0.7624
Cl  0.7376  0.0456  0.8941
Cl  0.7500  0.8965  0.6035
Cl  0.7624  0.6059  0.4544
Cl  0.8941  0.7376  0.0456
Cl  0.8965  0.6035  0.7500
Cl  0.9544  0.1059  0.2624